# Rb2ThPaS6
Computed X-ray powder pattern, CuKα. Input: a crystal structure in Alexandria, relaxed with GGA-PBE.
Lines closer than 0.1° are merged.

Structure:
```
data_Rb2ThPaS6
_cell_length_a 13.183
_cell_length_b 7.617
_cell_length_c 7.609
_cell_angle_alpha 90.00
_cell_angle_beta 125.24
_cell_angle_gamma 90.00
_symmetry_space_group_name_H-M 'C 1 2/m 1'
_symmetry_Int_Tables_number 12
_symmetry_space_group_name_Hall '-C 2y'
loop_
_atom_site_label
_atom_site_fract_x
_atom_site_fract_y
_atom_site_fract_z
Rb1 0.250 0.000 0.250
Th1 0.000 0.000 0.500
Pa1 0.000 0.500 0.000
S1 0.000 0.256 0.244
S2 0.244 0.500 0.244
```

Peak list (10 most intense, 2θ = 10–80°, in order of rising 2θ)
- 5.383 Å, intensity 43.5, hkl 2 0 0
- 3.807 Å, intensity 100.0, hkl 1 1 1
- 2.692 Å, intensity 45.5, hkl 4 0 0
- 2.408 Å, intensity 23.1, hkl 3 1 1
- 2.198 Å, intensity 47.4, hkl 4 2 0
- 1.903 Å, intensity 32.2, hkl 2 2 2
- 1.702 Å, intensity 22.1, hkl 5 1 1
- 1.439 Å, intensity 25.6, hkl 5 3 1
- 1.269 Å, intensity 12.7, hkl 3 3 3
- 1.204 Å, intensity 14.6, hkl 6 2 2